Record 1
Diffraction record for NaGd3Ti2Sb2O14. The powder X-ray diffraction pattern is computed, not measured: it uses a crystal structure in the Materials Project, relaxed with GGA-PBE and Cu Kα (weighted mean of Kα1 and Kα2).

Atomic structure:
```
data_NaGd3Ti2Sb2O14
_chemical_formula_sum 'Na2 Gd6 Ti4 Sb4 O28'
_space_group_name_H-M_alt 'P 1 2/c 1'
_space_group_IT_number 13
_space_group_name_Hall '-P 2yc'
_cell_length_a 7.3568
_cell_length_b 7.3240
_cell_length_c 12.6780
_cell_angle_alpha 90.00
_cell_angle_beta 125.05
_cell_angle_gamma 90.00
loop_
_atom_site_label
_atom_site_type_symbol
_atom_site_fract_x
_atom_site_fract_y
_atom_site_fract_z
Na1 Na 0.0000 0.0000 0.0000
Gd1 Gd 0.0000 0.2453 0.2500
Gd2 Gd 0.0000 0.5000 0.0000
Gd3 Gd 0.5000 0.2330 0.2500
Ti1 Ti 0.5000 0.2608 0.7500
Ti2 Ti 0.5000 0.5000 0.0000
Sb1 Sb 0.0000 0.2541 0.7500
Sb2 Sb 0.5000 0.0000 0.0000
O1 O 0.1327 0.2602 0.1312
O2 O 0.1706 0.0448 0.8714
O3 O 0.1762 0.4545 0.8774
O4 O 0.1783 0.2677 0.6777
O5 O 0.4234 0.2507 0.4231
O6 O 0.4267 0.4465 0.6223
O7 O 0.4428 0.0503 0.6322
```

Peak list (10 most intense, 2θ from 10° to 80°, in order of rising 2θ)
| 2theta | Rel. int. | (hkl) |
| --- | --- | --- |
| 19.11 | 25 | 1 1 0 |
| 29.67 | 34 | 2 0 0 |
| 29.87 | 100 | 0 2 2 |
| 34.56 | 41 | 0 0 4 |
| 49.56 | 32 | 2 2 2 |
| 49.82 | 31 | 2 2 -6 |
| 58.83 | 14 | 4 2 -2 |
| 59.06 | 28 | 0 2 6 |
| 59.17 | 14 | 2 0 -8 |
| 62.05 | 10 | 4 0 -8 |

***

Record 2
Diffraction record for NaSrGdSeO6. The powder X-ray diffraction pattern is computed, not measured: it uses a crystal structure in the Materials Project, relaxed with GGA-PBE and Cu Kα (weighted mean of Kα1 and Kα2).

Atomic structure:
```
data_NaSrGdSeO6
_chemical_formula_sum 'Na4 Sr4 Gd4 Se4 O24'
_space_group_name_H-M_alt 'F -4 3 m'
_space_group_IT_number 216
_space_group_name_Hall 'F -4 2 3'
_cell_length_a 8.1091
_cell_length_b 8.1091
_cell_length_c 8.1091
_cell_angle_alpha 90.00
_cell_angle_beta 90.00
_cell_angle_gamma 90.00
loop_
_atom_site_label
_atom_site_type_symbol
_atom_site_fract_x
_atom_site_fract_y
_atom_site_fract_z
Na1 Na 0.0000 0.0000 0.0000
Sr1 Sr 0.0000 0.0000 0.5000
Gd1 Gd 0.2500 0.2500 0.2500
Se1 Se 0.2500 0.2500 0.7500
O1 O 0.0252 0.2500 0.7500
```

Peak list (10 most intense, 2θ from 10° to 80°, in order of rising 2θ)
| 2theta | Rel. int. | (hkl) |
| --- | --- | --- |
| 18.96 | 16 | 1 1 1 |
| 21.92 | 31 | 2 0 0 |
| 31.20 | 100 | 2 2 0 |
| 36.76 | 13 | 3 1 1 |
| 44.70 | 34 | 4 0 0 |
| 48.96 | 8 | 3 3 1 |
| 50.32 | 11 | 4 2 0 |
| 55.52 | 38 | 4 2 2 |
| 65.07 | 20 | 4 4 0 |
| 73.92 | 18 | 6 2 0 |

***

Record 3
Diffraction record for Na2GdTa5O15. The powder X-ray diffraction pattern is computed, not measured: it uses a crystal structure in the Materials Project, relaxed with GGA-PBE and Cu Kα (weighted mean of Kα1 and Kα2).

Atomic structure:
```
data_Na2GdTa5O15
_chemical_formula_sum 'Na4 Gd2 Ta10 O30'
_space_group_name_H-M_alt 'P 4/m b m'
_space_group_IT_number 127
_space_group_name_Hall '-P 4 2ab'
_cell_length_a 12.6121
_cell_length_b 12.6121
_cell_length_c 3.9243
_cell_angle_alpha 90.00
_cell_angle_beta 90.00
_cell_angle_gamma 90.00
loop_
_atom_site_label
_atom_site_type_symbol
_atom_site_fract_x
_atom_site_fract_y
_atom_site_fract_z
Na1 Na 0.1715 0.3285 0.0000
Gd1 Gd 0.0000 0.0000 0.0000
Ta1 Ta 0.0000 0.5000 0.5000
Ta2 Ta 0.0785 0.7879 0.5000
O1 O 0.0000 0.5000 0.0000
O2 O 0.0013 0.3416 0.5000
O3 O 0.0582 0.1313 0.5000
O4 O 0.0806 0.8099 0.0000
O5 O 0.2228 0.7228 0.5000
```

Peak list (10 most intense, 2θ from 10° to 80°, in order of rising 2θ)
| 2theta | Rel. int. | (hkl) |
| --- | --- | --- |
| 15.71 | 42 | 2 1 0 |
| 22.66 | 70 | 0 0 1 |
| 25.46 | 60 | 3 2 0 |
| 27.69 | 32 | 2 1 1 |
| 29.19 | 60 | 4 1 0 |
| 31.73 | 54 | 4 2 0 |
| 32.00 | 100 | 3 1 1 |
| 34.34 | 40 | 3 2 1 |
| 45.49 | 34 | 6 2 0 |
| 56.69 | 64 | 5 5 1 |

***

Record 4
Diffraction record for Na2Gd2Ti3O10. The powder X-ray diffraction pattern is computed, not measured: it uses a crystal structure in the Materials Project, relaxed with GGA-PBE and Cu Kα (weighted mean of Kα1 and Kα2).

Atomic structure:
```
data_Na2Gd2Ti3O10
_chemical_formula_sum 'Na4 Gd4 Ti6 O20'
_space_group_name_H-M_alt 'I 4/m m m'
_space_group_IT_number 139
_space_group_name_Hall '-I 4 2'
_cell_length_a 3.8316
_cell_length_b 3.8316
_cell_length_c 28.6150
_cell_angle_alpha 90.00
_cell_angle_beta 90.00
_cell_angle_gamma 90.00
loop_
_atom_site_label
_atom_site_type_symbol
_atom_site_fract_x
_atom_site_fract_y
_atom_site_fract_z
Na1 Na 0.0000 0.0000 0.2121
Gd1 Gd 0.0000 0.0000 0.0758
Ti1 Ti 0.0000 0.0000 0.3540
Ti2 Ti 0.0000 0.0000 0.5000
O1 O 0.0000 0.0000 0.2923
O2 O 0.0000 0.0000 0.4324
O3 O 0.0000 0.5000 0.0000
O4 O 0.0000 0.5000 0.1307
```

Peak list (10 most intense, 2θ from 10° to 80°, in order of rising 2θ)
| 2theta | Rel. int. | (hkl) |
| --- | --- | --- |
| 12.37 | 23 | 0 0 4 |
| 23.42 | 22 | 1 0 1 |
| 28.02 | 41 | 1 0 5 |
| 32.02 | 100 | 1 0 7 |
| 33.06 | 55 | 1 1 0 |
| 38.20 | 23 | 1 1 6 |
| 41.83 | 24 | 1 1 8 |
| 47.46 | 38 | 2 0 0 |
| 56.39 | 23 | 1 1 14 |
| 58.40 | 36 | 2 1 7 |